Simulated PXRD pattern
Compound: Ba2HfZrN4
Radiation: Cu Kα (weighted mean of Kα1 and Kα2)
Structure: a crystal structure in OQMD, relaxed with GGA-PBE
Peak positions follow from Bragg's law for the DFT cell and can differ from measured ones.

Largest 10 diffraction maxima, in order of rising 2θ, 2θ = 10–80°:
Position (°2θ), I_rel, hkl
10.54, 15, 0 0 1
30.27, 100, 1 0 2
30.42, 64, 1 1 0
38.80, 9, 1 0 3
43.56, 29, 2 0 0
44.72, 9, 1 1 3
53.67, 14, 1 1 4
53.96, 40, 2 1 2
63.30, 9, 2 2 0
71.81, 19, 3 1 0

Structural model:
a b c (Å): 4.155 4.155 8.394
angles (deg): 90.00 90.00 90.00
Space group P4mm (No. 99)
One atom of each set of equivalent atoms:
Ba  0.000  0.000  0.000
Ba  0.500  0.500  0.304
Hf  0.000  0.000  0.560
Zr  0.500  0.500  0.734
N  0.000  0.000  0.324
N  0.000  0.500  0.642
N  0.500  0.500  0.973

=====

Simulated PXRD pattern
Compound: BaHf2Ni
Radiation: Cu Kα (weighted mean of Kα1 and Kα2)
Structure: a crystal structure in OQMD, relaxed with GGA-PBE
Peak positions follow from Bragg's law for the DFT cell and can differ from measured ones.

Largest 10 diffraction maxima, in order of rising 2θ, 2θ = 10–80°:
Position (°2θ), I_rel, hkl
21.39, 11, 1 1 1
24.75, 2, 2 0 0
35.29, 100, 2 2 0
41.64, 6, 3 1 1
50.77, 18, 4 0 0
55.70, 3, 3 3 1
63.34, 36, 4 2 2
67.68, 2, 5 1 1
74.64, 11, 4 4 0
78.70, 2, 5 3 1

Structural model:
a b c (Å): 7.193 7.193 7.193
angles (deg): 90.00 90.00 90.00
Space group F-43m (No. 216)
One atom of each set of equivalent atoms:
Ba  0.000  0.000  0.000
Hf  0.000  0.000  0.500
Hf  0.250  0.250  0.250
Ni  0.250  0.250  0.750

=====

Simulated PXRD pattern
Compound: BaHf7O15
Radiation: Cu Kα (weighted mean of Kα1 and Kα2)
Structure: a crystal structure in OQMD, relaxed with GGA-PBE
Peak positions follow from Bragg's law for the DFT cell and can differ from measured ones.

Largest 10 diffraction maxima, in order of rising 2θ, 2θ = 10–80°:
Position (°2θ), I_rel, hkl
28.67, 100, 0 2 2
29.21, 95, 2 0 2
29.82, 89, 0 2 -2
30.09, 82, 2 0 -2
33.01, 46, 2 2 0
33.45, 60, 0 0 4
35.88, 25, 2 -2 0
49.04, 37, 2 2 -4
49.69, 24, -2 2 4
50.03, 25, 2 -2 4

Structural model:
a b c (Å): 7.317 7.464 10.731
angles (deg): 87.48 87.98 85.29
Space group P1 (No. 1)
One atom of each set of equivalent atoms:
Ba  0.000  0.000  0.000
Ba  0.127  0.438  0.497
Hf  0.122  0.953  0.496
Hf  0.130  0.496  0.027
Hf  0.271  0.205  0.770
Hf  0.293  0.698  0.771
Hf  0.323  0.725  0.251
Hf  0.384  0.180  0.233
Hf  0.501  0.005  0.974
Hf  0.588  0.044  0.515
Hf  0.604  0.485  0.038
Hf  0.623  0.565  0.509
Hf  0.752  0.282  0.734
Hf  0.814  0.733  0.756
Hf  0.842  0.741  0.269
Hf  0.853  0.244  0.280
O  0.003  0.181  0.769
O  0.038  0.663  0.879
O  0.076  0.702  0.150
O  0.082  0.793  0.650
O  0.083  0.759  0.376
O  0.127  0.248  0.284
O  0.220  0.256  0.964
O  0.277  0.454  0.708
O  0.309  0.942  0.855
O  0.313  0.088  0.594
O  0.338  0.959  0.132
O  0.353  0.462  0.164
O  0.359  0.959  0.375
O  0.376  0.599  0.945
O  0.409  0.583  0.403
O  0.527  0.718  0.662
O  0.538  0.196  0.838
O  0.581  0.211  0.083
O  0.584  0.211  0.351
O  0.595  0.307  0.580
O  0.611  0.688  0.168
O  0.706  0.842  0.921
O  0.708  0.814  0.435
O  0.724  0.485  0.864
O  0.736  0.988  0.673
O  0.816  0.491  0.368
O  0.840  0.998  0.215
O  0.842  0.518  0.639
O  0.878  0.403  0.107
O  0.909  0.125  0.463

=====

Simulated PXRD pattern
Compound: BaHf7O15
Radiation: Cu Kα (weighted mean of Kα1 and Kα2)
Structure: a crystal structure in OQMD, relaxed with GGA-PBE
Peak positions follow from Bragg's law for the DFT cell and can differ from measured ones.

Largest 10 diffraction maxima, in order of rising 2θ, 2θ = 10–80°:
Position (°2θ), I_rel, hkl
28.90, 100, 0 2 2
29.78, 98, 2 0 2
30.06, 97, 2 0 -2
30.38, 92, 0 2 -2
34.06, 46, 2 2 0
34.65, 52, 2 -2 0
34.86, 49, 0 0 4
49.19, 27, -2 2 4
49.74, 27, 4 0 0
59.67, 36, 4 -2 2

Structural model:
a b c (Å): 7.334 7.445 10.308
angles (deg): 87.04 89.40 89.01
Space group P1 (No. 1)
One atom of each set of equivalent atoms:
Ba  0.000  0.000  0.000
Ba  0.010  0.568  0.466
Hf  0.007  0.074  0.476
Hf  0.233  0.788  0.729
Hf  0.273  0.798  0.232
Hf  0.277  0.258  0.744
Hf  0.279  0.307  0.211
Hf  0.483  0.001  0.467
Hf  0.500  0.522  0.957
Hf  0.504  0.990  0.968
Hf  0.514  0.534  0.465
Hf  0.726  0.745  0.200
Hf  0.727  0.248  0.729
Hf  0.744  0.249  0.238
Hf  0.751  0.782  0.729
Hf  0.984  0.486  0.941
O  0.011  0.278  0.819
O  0.033  0.266  0.317
O  0.219  0.958  0.376
O  0.222  0.479  0.051
O  0.254  0.110  0.586
O  0.264  0.525  0.801
O  0.271  0.008  0.840
O  0.299  0.542  0.320
O  0.304  0.060  0.121
O  0.347  0.719  0.561
O  0.452  0.747  0.084
O  0.476  0.239  0.359
O  0.484  0.257  0.880
O  0.498  0.356  0.622
O  0.501  0.768  0.838
O  0.522  0.797  0.338
O  0.536  0.363  0.124
O  0.622  0.009  0.633
O  0.685  0.009  0.127
O  0.703  0.658  0.566
O  0.723  0.506  0.322
O  0.728  0.496  0.816
O  0.736  0.020  0.852
O  0.765  0.636  0.029
O  0.766  0.035  0.383
O  0.897  0.274  0.578
O  0.902  0.306  0.081
O  0.993  0.862  0.615
O  0.995  0.736  0.839
O  0.998  0.767  0.219

=====

Simulated PXRD pattern
Compound: BaHf7O15
Radiation: Cu Kα (weighted mean of Kα1 and Kα2)
Structure: a crystal structure in OQMD, relaxed with GGA-PBE
Peak positions follow from Bragg's law for the DFT cell and can differ from measured ones.

Largest 10 diffraction maxima, in order of rising 2θ, 2θ = 10–80°:
Position (°2θ), I_rel, hkl
29.01, 51, 0 2 -2
29.59, 100, 2 0 -2
30.39, 48, 2 0 2
33.75, 25, 2 -2 0
34.03, 24, 2 2 0
35.31, 22, 0 0 4
47.74, 13, 0 4 0
49.50, 14, -2 2 4
50.71, 14, 2 2 4
58.19, 19, -4 2 2

Structural model:
a b c (Å): 7.353 7.622 10.174
angles (deg): 91.11 91.51 90.43
Space group P1 (No. 1)
One atom of each set of equivalent atoms:
Ba  0.000  0.000  0.000
Ba  0.499  0.988  0.466
Hf  0.028  0.507  0.963
Hf  0.222  0.764  0.722
Hf  0.234  0.280  0.230
Hf  0.266  0.707  0.237
Hf  0.276  0.224  0.744
Hf  0.472  0.481  0.504
Hf  0.503  0.526  0.970
Hf  0.507  0.003  0.981
Hf  0.730  0.711  0.232
Hf  0.736  0.733  0.726
Hf  0.762  0.257  0.741
Hf  0.770  0.277  0.235
Hf  0.991  0.984  0.484
Hf  0.996  0.462  0.497
O  0.016  0.218  0.352
O  0.039  0.284  0.836
O  0.050  0.720  0.564
O  0.185  0.901  0.347
O  0.214  0.017  0.617
O  0.216  0.508  0.364
O  0.236  0.423  0.605
O  0.263  0.565  0.861
O  0.284  0.480  0.103
O  0.285  0.971  0.849
O  0.314  0.087  0.118
O  0.451  0.268  0.902
O  0.460  0.704  0.631
O  0.484  0.771  0.115
O  0.505  0.293  0.342
O  0.510  0.672  0.354
O  0.520  0.261  0.635
O  0.575  0.759  0.885
O  0.666  0.470  0.125
O  0.696  0.074  0.122
O  0.717  0.053  0.850
O  0.747  0.518  0.599
O  0.753  0.471  0.869
O  0.782  0.932  0.613
O  0.803  0.918  0.342
O  0.833  0.518  0.342
O  0.923  0.229  0.582
O  0.979  0.728  0.831
O  0.990  0.316  0.113
O  0.995  0.695  0.124

=====

Simulated PXRD pattern
Compound: BaHfPa
Radiation: Cu Kα (weighted mean of Kα1 and Kα2)
Structure: a crystal structure in OQMD, relaxed with GGA-PBE
Peak positions follow from Bragg's law for the DFT cell and can differ from measured ones.

Largest 10 diffraction maxima, in order of rising 2θ, 2θ = 10–80°:
Position (°2θ), I_rel, hkl
20.74, 32, 1 1 1
23.99, 14, 2 0 0
34.19, 100, 2 2 0
40.33, 18, 3 1 1
49.13, 18, 4 0 0
53.87, 8, 3 3 1
55.39, 6, 4 2 0
61.21, 38, 4 2 2
65.37, 6, 5 1 1
72.02, 12, 4 4 0

Structural model:
a b c (Å): 7.418 7.418 7.418
angles (deg): 90.00 90.00 90.00
Space group F-43m (No. 216)
One atom of each set of equivalent atoms:
Ba  0.000  0.000  0.000
Hf  0.250  0.250  0.250
Pa  0.000  0.000  0.500

=====

Simulated PXRD pattern
Compound: Ba5Hf4S13
Radiation: Cu Kα (weighted mean of Kα1 and Kα2)
Structure: a crystal structure in OQMD, relaxed with GGA-PBE
Peak positions follow from Bragg's law for the DFT cell and can differ from measured ones.

Largest 10 diffraction maxima, in order of rising 2θ, 2θ = 10–80°:
Position (°2θ), I_rel, hkl
25.02, 100, 1 0 9
25.19, 61, 1 1 0
35.44, 20, 0 0 18
35.92, 49, 2 0 0
43.98, 20, 1 1 18
44.28, 45, 2 1 9
51.35, 26, 2 0 18
51.71, 17, 2 2 0
58.33, 22, 3 1 0
64.26, 13, 2 2 18

Structural model:
a b c (Å): 5.000 5.000 45.591
angles (deg): 90.00 90.00 90.00
Space group I4/mmm (No. 139)
One atom of each set of equivalent atoms:
Ba  0.000  0.000  0.000
Ba  0.000  0.000  0.107
Ba  0.000  0.000  0.211
Hf  0.000  0.000  0.334
Hf  0.000  0.000  0.445
S  0.000  0.000  0.279
S  0.000  0.000  0.390
S  0.000  0.000  0.500
S  0.000  0.500  0.055
S  0.000  0.500  0.163

=====

Simulated PXRD pattern
Compound: Ba4Hf3S10
Radiation: Cu Kα (weighted mean of Kα1 and Kα2)
Structure: a crystal structure in OQMD, relaxed with GGA-PBE
Peak positions follow from Bragg's law for the DFT cell and can differ from measured ones.

Largest 10 diffraction maxima, in order of rising 2θ, 2θ = 10–80°:
Position (°2θ), I_rel, hkl
24.98, 100, 1 0 7
25.23, 64, 1 1 0
35.25, 19, 0 0 14
35.99, 50, 2 0 0
43.84, 19, 1 1 14
44.31, 45, 2 1 7
51.26, 27, 2 0 14
51.81, 17, 2 2 0
58.47, 13, 3 1 0
64.22, 16, 2 2 14

Structural model:
a b c (Å): 4.991 4.991 35.648
angles (deg): 90.00 90.00 90.00
Space group I4/mmm (No. 139)
One atom of each set of equivalent atoms:
Ba  0.000  0.000  0.068
Ba  0.000  0.000  0.200
Hf  0.000  0.000  0.357
Hf  0.000  0.000  0.500
S  0.000  0.000  0.288
S  0.000  0.000  0.430
S  0.000  0.500  0.000
S  0.000  0.500  0.139

=====

Simulated PXRD pattern
Compound: Ba3Hf2Se7
Radiation: Cu Kα (weighted mean of Kα1 and Kα2)
Structure: a crystal structure in OQMD, relaxed with GGA-PBE
Peak positions follow from Bragg's law for the DFT cell and can differ from measured ones.

Largest 10 diffraction maxima, in order of rising 2θ, 2θ = 10–80°:
Position (°2θ), I_rel, hkl
13.25, 29, 0 4 0
23.84, 62, 1 5 1
24.15, 65, 2 0 0
31.50, 38, 2 6 0
33.52, 39, 0 10 0
34.42, 100, 2 0 2
42.30, 28, 3 5 1
48.80, 54, 2 10 2
49.47, 35, 4 0 0
61.08, 27, 4 10 0

Structural model:
a b c (Å): 7.370 26.735 7.370
angles (deg): 90.00 90.00 90.00
Space group Cccm (No. 66)
One atom of each set of equivalent atoms:
Ba  0.249  0.070  0.000
Ba  0.250  0.250  0.000
Hf  0.250  0.149  0.500
Se  0.000  0.154  0.250
Se  0.000  0.346  0.250
Se  0.248  0.051  0.500
Se  0.250  0.250  0.500

=====

Simulated PXRD pattern
Compound: BaTmHf
Radiation: Cu Kα (weighted mean of Kα1 and Kα2)
Structure: a crystal structure in OQMD, relaxed with GGA-PBE
Peak positions follow from Bragg's law for the DFT cell and can differ from measured ones.

Largest 10 diffraction maxima, in order of rising 2θ, 2θ = 10–80°:
Position (°2θ), I_rel, hkl
19.88, 31, 1 1 1
23.00, 11, 2 0 0
32.75, 100, 2 2 0
38.61, 17, 3 1 1
46.99, 18, 4 0 0
51.50, 8, 3 3 1
58.45, 38, 4 2 2
62.38, 6, 5 1 1
68.64, 12, 4 4 0
78.15, 17, 6 2 0

Structural model:
a b c (Å): 7.735 7.735 7.735
angles (deg): 90.00 90.00 90.00
Space group F-43m (No. 216)
One atom of each set of equivalent atoms:
Ba  0.000  0.000  0.000
Tm  0.250  0.250  0.250
Hf  0.000  0.000  0.500

=====

Simulated PXRD pattern
Compound: Ba3HfZn2
Radiation: Cu Kα (weighted mean of Kα1 and Kα2)
Structure: a crystal structure in OQMD, relaxed with GGA-PBE
Peak positions follow from Bragg's law for the DFT cell and can differ from measured ones.

Largest 10 diffraction maxima, in order of rising 2θ, 2θ = 10–80°:
Position (°2θ), I_rel, hkl
24.22, 33, 1 0 1
25.36, 23, 0 0 4
30.25, 100, 1 0 3
33.27, 70, 1 1 0
34.75, 24, 1 0 4
39.87, 13, 1 0 5
42.29, 23, 1 1 4
47.77, 25, 2 0 0
57.59, 32, 2 1 3
79.61, 11, 3 1 0

Structural model:
a b c (Å): 3.808 3.808 14.050
angles (deg): 90.00 90.00 90.00
Space group P4mm (No. 99)
One atom of each set of equivalent atoms:
Ba  0.000  0.000  0.000
Ba  0.000  0.000  0.304
Ba  0.500  0.500  0.566
Hf  0.500  0.500  0.809
Zn  0.000  0.000  0.738
Zn  0.500  0.500  0.156